No. 1
This entry pairs a crystal structure of TeH with its calculated powder XRD pattern. Radiation: a wavelength of 1.5418 Å. Structure: a cell relaxed with PBE.
No peak broadening, texture or thermal motion is included.

Structure:
```
TeH
1.0
0.0000 2.4745 2.4745
2.4745 0.0000 2.4745
2.4745 2.4745 0.0000
Te H
1 1
direct
0.0000 0.0000 0.0000
0.5000 0.5000 0.5000
```

Top 5 peaks for 2θ from 5° to 70°, by angle:
two_theta, I (rel.)
31.3, 100
36.3, 53
52.3, 36
62.2, 42
65.3, 12


No. 2
This entry pairs a crystal structure of HfSe with its calculated powder XRD pattern. Radiation: a wavelength of 1.5418 Å. Structure: a cell relaxed with PBE.
No peak broadening, texture or thermal motion is included.

Structure:
```
HfSe
1.0
-1.7811 1.7811 6.1510
1.7811 -1.7811 6.1510
1.7811 1.7811 -6.1510
Hf Se
2 2
direct
0.0000 0.0000 0.0000
0.7500 0.2500 0.5000
0.3330 0.8330 0.5000
0.5830 0.5830 0.0000
```

Top 6 peaks for 2θ from 5° to 70°, by angle:
two_theta, I (rel.)
26.0, 35
29.0, 24
33.3, 54
38.6, 100
44.8, 39
51.3, 28